For La2ZrS5, a cell relaxed with GGA-PBE gives the computed powder XRD pattern in this record (Cu Kα X-rays).

Main lines, low angle first (10 to 90 degrees two-theta):
- 2θ = 23.93°, 3.719 Å, intensity 36, hkl 0 0 2
- 2θ = 25.87°, 3.445 Å, intensity 63, hkl 1 2 1
- 2θ = 26.08°, 3.416 Å, intensity 92, hkl 3 0 1
- 2θ = 26.55°, 3.357 Å, intensity 39, hkl 2 2 0
- 2θ = 33.34°, 2.688 Å, intensity 100, hkl 1 2 2
- 2θ = 34.07°, 2.632 Å, intensity 68, hkl 3 2 1
- 2θ = 36.04°, 2.492 Å, intensity 54, hkl 2 2 2
- 2θ = 43.87°, 2.064 Å, intensity 37, hkl 0 4 0

Crystal structure
```
La2ZrS5
1.0
11.538 0.000 0.000
0.000 8.255 0.000
0.000 0.000 7.438
La Zr S
8 4 20
Direct
0.171 0.001 0.059
0.171 0.499 0.059
0.329 0.501 0.559
0.329 0.999 0.559
0.671 0.001 0.441
0.671 0.499 0.441
0.829 0.501 0.941
0.829 0.999 0.941
0.010 0.250 0.574
0.490 0.750 0.074
0.510 0.250 0.926
0.990 0.750 0.426
0.004 0.250 0.942
0.073 0.534 0.678
0.073 0.966 0.678
0.193 0.250 0.360
0.208 0.750 0.340
0.292 0.250 0.840
0.307 0.750 0.860
0.427 0.034 0.178
0.427 0.466 0.178
0.496 0.750 0.442
0.504 0.250 0.558
0.573 0.534 0.822
0.573 0.966 0.822
0.693 0.250 0.140
0.708 0.750 0.160
0.792 0.250 0.660
0.807 0.750 0.640
0.927 0.034 0.322
0.927 0.466 0.322
0.996 0.750 0.058
```